[1]
Diffraction record for Ba2GdBr. The X-ray powder pattern is computed, not measured: it uses the PBE geometry in Alexandria and a wavelength of 1.5418 Å.
Peak positions follow from Bragg's law for the DFT cell and can differ from measured ones.

Top 8 peaks for 2θ from 5° to 70°, in order of falling intensity:
2θ = 35.46°, rel. 100; 2θ = 26.15°, rel. 91; 2θ = 25.81°, rel. 75; 2θ = 32.26°, rel. 51; 2θ = 45.31°, rel. 50; 2θ = 21.59°, rel. 38; 2θ = 37.22°, rel. 29; 2θ = 28.43°, rel. 26

Atomic structure:
```
data_Ba2GdBr
_symmetry_space_group_name_H-M 'P 1'
_symmetry_Int_Tables_number 1
_cell_length_a 4.0027
_cell_length_b 4.0027
_cell_length_c 37.0510
_cell_angle_alpha 90.00
_cell_angle_beta 90.00
_cell_angle_gamma 120.00
loop_
_symmetry_equiv_pos_as_xyz
'x,y,z'
loop_
_atom_site_label
_atom_site_type_symbol
_atom_site_fract_x
_atom_site_fract_y
_atom_site_fract_z
Ba1 Ba 0.0000 0.0000 0.0998
Ba2 Ba 0.0000 0.0000 0.9002
Ba3 Ba 0.3333 0.6667 0.5669
Ba4 Ba 0.3333 0.6667 0.7665
Ba5 Ba 0.6667 0.3333 0.2335
Ba6 Ba 0.6667 0.3333 0.4331
Gd1 Gd 0.0000 0.0000 0.0000
Gd2 Gd 0.3333 0.6667 0.6667
Gd3 Gd 0.6667 0.3333 0.3333
Br1 Br 0.0000 0.0000 0.5000
Br2 Br 0.3333 0.6667 0.1667
Br3 Br 0.6667 0.3333 0.8333
```


[2]
Diffraction record for NdSm14Zr. The X-ray powder pattern is computed, not measured: it uses the PBE geometry in Alexandria and a wavelength of 1.5418 Å.
Peak positions follow from Bragg's law for the DFT cell and can differ from measured ones.

Top 8 peaks for 2θ from 5° to 70°, in order of falling intensity:
2θ = 30.40°, rel. 100; 2θ = 50.71°, rel. 36; 2θ = 35.21°, rel. 34; 2θ = 60.22°, rel. 28; 2θ = 35.34°, rel. 17; 2θ = 60.40°, rel. 14; 2θ = 63.26°, rel. 12; 2θ = 26.27°, rel. 1

Atomic structure:
```
data_NdSm14Zr
_symmetry_space_group_name_H-M 'P 1'
_symmetry_Int_Tables_number 1
_cell_length_a 7.2098
_cell_length_b 7.2098
_cell_length_c 10.1602
_cell_angle_alpha 90.00
_cell_angle_beta 90.00
_cell_angle_gamma 90.00
loop_
_symmetry_equiv_pos_as_xyz
'x,y,z'
loop_
_atom_site_label
_atom_site_type_symbol
_atom_site_fract_x
_atom_site_fract_y
_atom_site_fract_z
Nd1 Nd 0.0000 0.0000 0.0000
Sm1 Sm 0.0000 0.0000 0.5000
Sm2 Sm 0.0000 0.5000 0.0000
Sm3 Sm 0.0000 0.5000 0.5000
Sm4 Sm 0.2560 0.2560 0.2444
Sm5 Sm 0.2560 0.2560 0.7556
Sm6 Sm 0.2560 0.7440 0.2444
Sm7 Sm 0.2560 0.7440 0.7556
Sm8 Sm 0.5000 0.0000 0.0000
Sm9 Sm 0.5000 0.0000 0.5000
Sm10 Sm 0.5000 0.5000 0.5000
Sm11 Sm 0.7440 0.2560 0.2444
Sm12 Sm 0.7440 0.2560 0.7556
Sm13 Sm 0.7440 0.7440 0.2444
Sm14 Sm 0.7440 0.7440 0.7556
Zr1 Zr 0.5000 0.5000 0.0000
```